Computed X-ray powder pattern
Compound: La8Y3Er2
Radiation: Cu Kα (λ = 1.5418 Å)
Structure: a structure optimized by DFT (PBE)
No peak broadening, texture or thermal motion is included.

abc: 10.987 10.987 5.850
angles: 90.03 90.03 41.38
Fractional positions:
La  0.093  0.694  0.000
La  0.176  0.176  0.501
La  0.306  0.907  0.000
La  0.368  0.368  0.501
La  0.632  0.632  0.499
La  0.694  0.093  0.000
La  0.824  0.824  0.499
La  0.907  0.306  0.000
Y  0.217  0.783  0.500
Y  0.500  0.500  0.000
Y  0.783  0.217  0.500
Er  0.260  0.260  0.001
Er  0.740  0.740  0.999

Top 10 peaks for 2θ = 5–70°, low angle first:
d/Å  I (rel.)
3.632  29
3.089  25
3.086  22
2.956  41
2.925  49
2.738  100
2.569  21
2.278  16
1.930  18
1.650  22